Record 1
Starting from the GGA-PBE geometry in Alexandria, the powder diffractogram of TlBi2Cl7 was calculated for CuKα.
Peak positions follow from Bragg's law for the DFT cell and can differ from measured ones.

Cell and atoms:
a = 8.1752 Å, b = 8.1752 Å, c = 5.4120 Å
α = 90.00°, β = 90.00°, γ = 115.15°
Positions (direct):
Tl: 0.0000 0.0000 0.0000
Bi: 0.2983 0.7017 0.5000
Bi: 0.7017 0.2983 0.5000
Cl: 0.0511 0.3232 0.5000
Cl: 0.2778 0.7222 0.0000
Cl: 0.3232 0.0511 0.5000
Cl: 0.5000 0.5000 0.5000
Cl: 0.6768 0.9489 0.5000
Cl: 0.7222 0.2778 0.0000
Cl: 0.9489 0.6768 0.5000

Largest 10 diffraction maxima, in order of rising 2θ, 2θ from 10° to 90°:
| two_theta | I/Imax |
| --- | --- |
| 16.4 | 23 |
| 20.3 | 100 |
| 20.9 | 49 |
| 21.8 | 50 |
| 29.2 | 38 |
| 33.1 | 52 |
| 35.5 | 24 |
| 36.4 | 25 |
| 38.0 | 42 |
| 39.1 | 23 |

***

Record 2
Starting from the GGA-PBE geometry in Alexandria, the powder diffractogram of RbLiP2 was calculated for CuKα.
Peak positions follow from Bragg's law for the DFT cell and can differ from measured ones.

Cell and atoms:
a = 9.4497 Å, b = 9.4497 Å, c = 9.4497 Å
α = 150.65°, β = 150.65°, γ = 41.99°
Positions (direct):
Rb: 0.3750 0.6250 0.7500
Rb: 0.6250 0.3750 0.2500
Li: 0.1250 0.8750 0.2500
Li: 0.8750 0.1250 0.7500
P: 0.0000 0.0000 0.0000
P: 0.0000 0.0000 0.5000
P: 0.0000 0.5000 0.0000
P: 0.5000 0.0000 0.5000

Largest 10 diffraction maxima, in order of rising 2θ, 2θ from 10° to 90°:
| two_theta | I/Imax |
| --- | --- |
| 24.0 | 100 |
| 28.2 | 69 |
| 31.5 | 48 |
| 37.6 | 16 |
| 40.6 | 25 |
| 40.9 | 17 |
| 42.5 | 40 |
| 43.0 | 21 |
| 56.4 | 17 |
| 58.4 | 23 |